Entry 1:
Starting from a PBE-relaxed structure, the X-ray powder pattern of V4Pt7 was calculated for a wavelength of 1.5418 Å.

Peak list (10 most intense, 2θ from 10° to 80°, in order of rising 2θ)
Position (°2θ), Rel. int., index
24.27, 33, 2 0 0
32.30, 20, 2 1 0
36.77, 14, 3 0 0
39.40, 9, 1 1 1
41.35, 100, 2 0 1
42.71, 68, 2 2 0
46.82, 9, 2 1 1
60.96, 25, 4 0 1
65.22, 13, 3 2 1
77.28, 19, 4 2 1

Atomic structure:
```
data_V4Pt7
_chemical_formula_sum 'V4 Pt7'
_cell_length_a 8.4675
_cell_length_b 8.4675
_cell_length_c 2.7178
_cell_angle_alpha 90.00
_cell_angle_beta 90.00
_cell_angle_gamma 120.00
_symmetry_space_group_name_H-M 'P -6 m 2'
_symmetry_Int_Tables_number 187
_symmetry_space_group_name_Hall 'P -6 2'
loop_
_atom_site_label
_atom_site_fract_x
_atom_site_fract_y
_atom_site_fract_z
V1 0.0000 0.0000 0.0000
V2 0.0034 0.5017 0.5000
Pt1 0.1878 0.3755 0.0000
Pt2 0.3076 0.1538 0.5000
Pt3 0.6667 0.3333 0.0000
```

Entry 2:
Starting from a PBE-relaxed structure, the X-ray powder pattern of V13Pt2 was calculated for a wavelength of 1.5418 Å.

Peak list (10 most intense, 2θ from 10° to 80°, in order of rising 2θ)
Position (°2θ), Rel. int., index
16.02, 100, 1 0 1
23.89, 45, 1 0 4
26.77, 36, 1 1 0
30.15, 42, 1 1 3
40.14, 52, 0 1 8
41.68, 75, 2 1 1
45.24, 55, 0 2 7
45.57, 18, 2 1 4
49.43, 16, 3 0 3
55.16, 20, 2 2 0

Atomic structure:
```
data_V13Pt2
_chemical_formula_sum 'V39 Pt6'
_cell_length_a 6.6607
_cell_length_b 6.6607
_cell_length_c 19.5117
_cell_angle_alpha 90.00
_cell_angle_beta 90.00
_cell_angle_gamma 120.00
_symmetry_space_group_name_H-M 'R -3 m'
_symmetry_Int_Tables_number 166
_symmetry_space_group_name_Hall '-R 3 2"'
loop_
_atom_site_label
_atom_site_fract_x
_atom_site_fract_y
_atom_site_fract_z
V1 0.0000 0.0000 0.0000
V2 0.0736 0.5368 0.2953
V3 0.0784 0.5392 0.4231
Pt1 0.0000 0.0000 0.1329
```